For Rb2MgCu4H5S4O20, a crystal structure in the Materials Project, relaxed with GGA-PBE gives the calculated XRD peak list in this record (CuKα).

Atomic structure:
```
Rb2MgCu4H5S4O20
1.0
6.3729 0.0000 0.0000
0.0371 8.4483 0.0000
0.3650 4.0408 8.3410
Rb Mg Cu H S O
2 1 4 5 4 20
direct
0.0000 0.0000 0.0000
0.4281 0.5383 0.4512
0.8190 0.4868 0.7406
0.2214 0.2902 0.2237
0.2230 0.7776 0.7266
0.7161 0.2800 0.2225
0.7414 0.8182 0.7287
0.4524 0.0466 0.6742
0.4584 0.0467 0.2757
0.4660 0.0341 0.5025
0.9571 0.5015 0.1964
0.9739 0.5714 0.9449
0.4673 0.7302 0.0438
0.4700 0.2969 0.8945
0.9498 0.2390 0.5507
0.9709 0.8149 0.4203
0.1461 0.2872 0.4461
0.1695 0.7866 0.5124
0.2829 0.7707 0.9362
0.2877 0.2789 0.0057
0.4379 0.8208 0.1466
0.4428 0.1810 0.8166
0.4636 0.1361 0.3160
0.4672 0.9622 0.6272
0.4802 0.5358 0.1399
0.4960 0.4863 0.7676
0.6669 0.7987 0.9429
0.6783 0.2654 0.9781
0.7595 0.2878 0.4535
0.7863 0.7398 0.5463
0.9383 0.0034 0.3213
0.9506 0.0490 0.6616
0.9534 0.3406 0.6496
0.9675 0.4251 0.1417
0.9684 0.6309 0.8246
0.9796 0.7117 0.3282
```

Largest 10 diffraction maxima, in order of falling intensity, 2θ = 15–90°:
- d = 3.080 Å, 28.99°, I = 100
- d = 4.692 Å, 18.91°, I = 76
- d = 3.511 Å, 25.37°, I = 76
- d = 2.954 Å, 30.26°, I = 61
- d = 3.528 Å, 25.24°, I = 55
- d = 2.904 Å, 30.79°, I = 49
- d = 3.802 Å, 23.40°, I = 45
- d = 1.901 Å, 47.85°, I = 36
- d = 2.786 Å, 32.13°, I = 35
- d = 2.766 Å, 32.36°, I = 32


For BiBr3, a crystal structure in the Materials Project, relaxed with GGA-PBE gives the calculated XRD peak list in this record (CuKα).

Atomic structure:
```
BiBr3
1.0
7.5314 0.0000 0.0000
0.0000 12.7294 0.0000
-2.3717 0.0000 7.0323
Bi Br
4 12
direct
0.0089 0.1672 0.0195
0.0089 0.3328 0.5195
0.9911 0.6672 0.4805
0.9911 0.8328 0.9805
0.2178 0.6726 0.2290
0.2178 0.8274 0.7290
0.2361 0.5079 0.7135
0.2361 0.9921 0.2135
0.2491 0.1844 0.7831
0.2491 0.3156 0.2831
0.7509 0.6844 0.7169
0.7509 0.8156 0.2169
0.7639 0.0079 0.7865
0.7639 0.4921 0.2865
0.7822 0.1726 0.2710
0.7822 0.3274 0.7710
```

Largest 10 diffraction maxima, in order of falling intensity, 2θ = 15–90°:
- d = 3.039 Å, 29.39°, I = 100
- d = 2.160 Å, 41.81°, I = 26
- d = 2.137 Å, 42.29°, I = 22
- d = 3.633 Å, 24.50°, I = 20
- d = 5.481 Å, 16.17°, I = 18
- d = 1.740 Å, 52.61°, I = 16
- d = 2.359 Å, 38.15°, I = 15
- d = 2.121 Å, 42.62°, I = 12
- d = 3.650 Å, 24.39°, I = 12
- d = 4.750 Å, 18.68°, I = 12


For Nb3Ir, a crystal structure in the Materials Project, relaxed with GGA-PBE gives the calculated XRD peak list in this record (CuKα).

Atomic structure:
```
Nb3Ir
1.0
5.1838 0.0000 0.0000
0.0000 5.1838 0.0000
0.0000 0.0000 5.1838
Nb Ir
6 2
direct
0.0000 0.2500 0.5000
0.0000 0.7500 0.5000
0.2500 0.5000 0.0000
0.5000 0.0000 0.2500
0.5000 0.0000 0.7500
0.7500 0.5000 0.0000
0.0000 0.0000 0.0000
0.5000 0.5000 0.5000
```

Largest 10 diffraction maxima, in order of falling intensity, 2θ = 15–90°:
- d = 2.116 Å, 42.73°, I = 100
- d = 2.318 Å, 38.85°, I = 59
- d = 1.385 Å, 67.62°, I = 51
- d = 2.592 Å, 34.61°, I = 45
- d = 3.665 Å, 24.28°, I = 23
- d = 1.159 Å, 83.38°, I = 15
- d = 1.296 Å, 73.01°, I = 14
- d = 1.105 Å, 88.46°, I = 13
- d = 1.438 Å, 64.85°, I = 12
- d = 1.131 Å, 85.92°, I = 11


For YSeF, a crystal structure in the Materials Project, relaxed with GGA-PBE gives the calculated XRD peak list in this record (CuKα).

Atomic structure:
```
YSeF
1.0
11.6017 0.0000 0.0000
0.0000 4.1251 0.0000
0.0000 0.0000 5.6395
Y Se F
4 4 4
direct
0.1464 0.2500 0.0140
0.3536 0.7500 0.5140
0.6464 0.2500 0.4860
0.8536 0.7500 0.9860
0.1696 0.2500 0.5136
0.3304 0.7500 0.0136
0.6696 0.2500 0.9864
0.8304 0.7500 0.4864
0.0575 0.7500 0.0206
0.4425 0.2500 0.5206
0.5575 0.7500 0.4794
0.9425 0.2500 0.9794
```

Largest 10 diffraction maxima, in order of falling intensity, 2θ = 15–90°:
- d = 3.362 Å, 26.51°, I = 100
- d = 2.160 Å, 41.81°, I = 56
- d = 2.820 Å, 31.73°, I = 55
- d = 2.373 Å, 37.92°, I = 36
- d = 1.815 Å, 50.26°, I = 30
- d = 5.801 Å, 15.27°, I = 24
- d = 2.063 Å, 43.90°, I = 22
- d = 1.665 Å, 55.17°, I = 21
- d = 2.900 Å, 30.83°, I = 20
- d = 5.072 Å, 17.48°, I = 18


For KLaTbGeO6, a crystal structure in the Materials Project, relaxed with GGA-PBE gives the calculated XRD peak list in this record (CuKα).

Atomic structure:
```
KLaTbGeO6
1.0
0.0000 4.1099 4.1099
4.1099 0.0000 4.1099
4.1099 4.1099 0.0000
K La Tb Ge O
1 1 1 1 6
direct
0.0000 0.0000 0.0000
0.5000 0.5000 0.5000
0.2500 0.2500 0.2500
0.7500 0.7500 0.7500
0.5190 0.5190 0.9810
0.5190 0.9810 0.5190
0.5190 0.9810 0.9810
0.9810 0.5190 0.5190
0.9810 0.5190 0.9810
0.9810 0.9810 0.5190
```

Largest 10 diffraction maxima, in order of falling intensity, 2θ = 15–90°:
- d = 2.906 Å, 30.77°, I = 100
- d = 1.678 Å, 54.71°, I = 39
- d = 2.055 Å, 44.07°, I = 32
- d = 4.746 Å, 18.70°, I = 21
- d = 1.098 Å, 89.15°, I = 21
- d = 1.453 Å, 64.09°, I = 19
- d = 1.300 Å, 72.77°, I = 18
- d = 2.478 Å, 36.25°, I = 15
- d = 1.886 Å, 48.26°, I = 8
- d = 4.110 Å, 21.62°, I = 7


For K2P2H2O7, a crystal structure in the Materials Project, relaxed with GGA-PBE gives the calculated XRD peak list in this record (CuKα).

Atomic structure:
```
K2P2H2O7
1.0
7.2569 0.0000 0.0000
-1.3964 7.6559 0.0000
-2.4736 -3.8318 7.8173
K P H O
4 4 4 14
direct
0.1760 0.2838 0.4026
0.2209 0.1985 0.9584
0.7791 0.8015 0.0416
0.8240 0.7163 0.5974
0.3185 0.8561 0.1839
0.3296 0.7480 0.5882
0.6704 0.2520 0.4118
0.6815 0.1439 0.8161
0.1365 0.8268 0.4006
0.3755 0.6518 0.2819
0.6245 0.3482 0.7181
0.8635 0.1732 0.5994
0.0629 0.7859 0.8950
0.1229 0.7807 0.4901
0.1637 0.9038 0.2614
0.2813 0.8749 0.0089
0.3411 0.6507 0.1571
0.4250 0.6720 0.4516
0.4605 0.0003 0.7038
0.5395 0.9997 0.2962
0.5750 0.3280 0.5484
0.6589 0.3493 0.8429
0.7187 0.1251 0.9911
0.8363 0.0962 0.7386
0.8771 0.2193 0.5099
0.9371 0.2141 0.1050
```

Largest 10 diffraction maxima, in order of falling intensity, 2θ = 15–90°:
- d = 3.438 Å, 25.92°, I = 100
- d = 4.310 Å, 20.61°, I = 87
- d = 3.174 Å, 28.11°, I = 60
- d = 3.313 Å, 26.92°, I = 35
- d = 2.518 Å, 35.65°, I = 31
- d = 2.976 Å, 30.03°, I = 25
- d = 2.414 Å, 37.25°, I = 23
- d = 2.895 Å, 30.89°, I = 22
- d = 2.821 Å, 31.72°, I = 20
- d = 5.756 Å, 15.39°, I = 19